1.
Pr2TlH: computed powder diffractogram (Cu Ka), based on a crystal structure in Alexandria, relaxed with GGA-PBE.
Kinematic intensities with the Lorentz-polarization factor, no thermal factor.

Crystal structure
```
data_Pr2TlH
_chemical_formula_sum 'Pr8 Tl4 H4'
_symmetry_space_group_name_H-M 'P 1'
_symmetry_Int_Tables_number 1
_cell_length_a 5.7273
_cell_length_b 12.4554
_cell_length_c 5.6694
_cell_angle_alpha 90.00
_cell_angle_beta 90.00
_cell_angle_gamma 90.00
loop_
_symmetry_equiv_pos_as_xyz
'x,y,z'
loop_
_atom_site_label
_atom_site_type_symbol
_atom_site_fract_x
_atom_site_fract_y
_atom_site_fract_z
Pr1 Pr 0.2485 0.0994 0.0000
Pr2 Pr 0.2485 0.9006 0.5000
Pr3 Pr 0.2515 0.4006 0.0000
Pr4 Pr 0.2515 0.5994 0.5000
Pr5 Pr 0.7485 0.4006 0.5000
Pr6 Pr 0.7485 0.5994 0.0000
Pr7 Pr 0.7515 0.0994 0.5000
Pr8 Pr 0.7515 0.9006 0.0000
Tl1 Tl 0.2500 0.2500 0.5000
Tl2 Tl 0.2500 0.7500 0.0000
Tl3 Tl 0.7500 0.2500 0.0000
Tl4 Tl 0.7500 0.7500 0.5000
H1 H 0.0000 0.0000 0.2500
H2 H 0.0000 0.0000 0.7500
H3 H 0.5000 0.5000 0.2500
H4 H 0.5000 0.5000 0.7500
```

Principal peaks in the range 5 to 70 degrees two-theta, in order of rising 2θ:
30.9°, I = 100; 31.2°, I = 26; 31.6°, I = 25; 45.0°, I = 19; 54.6°, I = 9; 55.4°, I = 19; 55.8°, I = 19; 64.4°, I = 10

***

2.
Cs2Se: computed powder diffractogram (Cu Ka), based on a crystal structure in Alexandria, relaxed with GGA-PBE.
Kinematic intensities with the Lorentz-polarization factor, no thermal factor.

Crystal structure
```
data_Cs2Se
_chemical_formula_sum 'Cs8 Se4'
_symmetry_space_group_name_H-M 'P 1'
_symmetry_Int_Tables_number 1
_cell_length_a 8.4971
_cell_length_b 8.4971
_cell_length_c 8.4971
_cell_angle_alpha 90.00
_cell_angle_beta 90.00
_cell_angle_gamma 90.00
loop_
_symmetry_equiv_pos_as_xyz
'x,y,z'
loop_
_atom_site_label
_atom_site_type_symbol
_atom_site_fract_x
_atom_site_fract_y
_atom_site_fract_z
Cs1 Cs 0.2500 0.2500 0.2500
Cs2 Cs 0.2500 0.2500 0.7500
Cs3 Cs 0.2500 0.7500 0.2500
Cs4 Cs 0.2500 0.7500 0.7500
Cs5 Cs 0.7500 0.2500 0.2500
Cs6 Cs 0.7500 0.2500 0.7500
Cs7 Cs 0.7500 0.7500 0.2500
Cs8 Cs 0.7500 0.7500 0.7500
Se1 Se 0.0000 0.0000 0.0000
Se2 Se 0.0000 0.5000 0.5000
Se3 Se 0.5000 0.0000 0.5000
Se4 Se 0.5000 0.5000 0.0000
```

Principal peaks in the range 5 to 70 degrees two-theta, in order of rising 2θ:
18.1°, I = 13; 20.9°, I = 34; 29.7°, I = 100; 36.6°, I = 11; 42.6°, I = 18; 47.9°, I = 15; 52.8°, I = 39; 61.8°, I = 12

***

3.
ErSn2S4: computed powder diffractogram (Cu Ka), based on a crystal structure in Alexandria, relaxed with GGA-PBE.
Kinematic intensities with the Lorentz-polarization factor, no thermal factor.

Crystal structure
```
data_ErSn2S4
_chemical_formula_sum 'Er2 Sn4 S8'
_symmetry_space_group_name_H-M 'P 1'
_symmetry_Int_Tables_number 1
_cell_length_a 6.8824
_cell_length_b 6.8824
_cell_length_c 13.2784
_cell_angle_alpha 90.00
_cell_angle_beta 90.00
_cell_angle_gamma 148.15
loop_
_symmetry_equiv_pos_as_xyz
'x,y,z'
loop_
_atom_site_label
_atom_site_type_symbol
_atom_site_fract_x
_atom_site_fract_y
_atom_site_fract_z
Er1 Er 0.1185 0.8815 0.7500
Er2 Er 0.8815 0.1185 0.2500
Sn1 Sn 0.3693 0.6307 0.5695
Sn2 Sn 0.3693 0.6307 0.9305
Sn3 Sn 0.6307 0.3693 0.0695
Sn4 Sn 0.6307 0.3693 0.4305
S1 S 0.0000 0.0000 0.0000
S2 S 0.0000 0.0000 0.5000
S3 S 0.2864 0.7136 0.1256
S4 S 0.2864 0.7136 0.3744
S5 S 0.4728 0.5272 0.7500
S6 S 0.5272 0.4728 0.2500
S7 S 0.7136 0.2864 0.6256
S8 S 0.7136 0.2864 0.8744
```

Principal peaks in the range 5 to 70 degrees two-theta, in order of rising 2θ:
24.2°, I = 100; 25.4°, I = 28; 26.9°, I = 30; 31.9°, I = 46; 34.0°, I = 51; 42.2°, I = 43; 46.0°, I = 29; 54.6°, I = 31

***

4.
RbCaTlF4: computed powder diffractogram (Cu Ka), based on a crystal structure in Alexandria, relaxed with GGA-PBE.
Kinematic intensities with the Lorentz-polarization factor, no thermal factor.

Crystal structure
```
data_RbCaTlF4
_chemical_formula_sum 'Rb2 Ca2 Tl2 F8'
_symmetry_space_group_name_H-M 'P 1'
_symmetry_Int_Tables_number 1
_cell_length_a 4.4853
_cell_length_b 4.4853
_cell_length_c 14.1332
_cell_angle_alpha 90.00
_cell_angle_beta 90.00
_cell_angle_gamma 90.00
loop_
_symmetry_equiv_pos_as_xyz
'x,y,z'
loop_
_atom_site_label
_atom_site_type_symbol
_atom_site_fract_x
_atom_site_fract_y
_atom_site_fract_z
Rb1 Rb 0.0000 0.0000 0.0000
Rb2 Rb 0.5000 0.5000 0.5000
Ca1 Ca 0.0000 0.0000 0.6466
Ca2 Ca 0.5000 0.5000 0.1466
Tl1 Tl 0.0000 0.0000 0.3011
Tl2 Tl 0.5000 0.5000 0.8012
F1 F 0.0000 0.0000 0.4826
F2 F 0.0000 0.0000 0.8067
F3 F 0.0000 0.5000 0.1410
F4 F 0.0000 0.5000 0.6410
F5 F 0.5000 0.0000 0.1410
F6 F 0.5000 0.0000 0.6410
F7 F 0.5000 0.5000 0.3067
F8 F 0.5000 0.5000 0.9826
```

Principal peaks in the range 5 to 70 degrees two-theta, in order of rising 2θ:
20.8°, I = 47; 27.5°, I = 100; 28.1°, I = 66; 30.9°, I = 23; 38.2°, I = 54; 40.2°, I = 39; 48.1°, I = 33; 49.4°, I = 41

***

5.
Pr2Cu2Pd15: computed powder diffractogram (Cu Ka), based on a crystal structure in Alexandria, relaxed with GGA-PBE.
Kinematic intensities with the Lorentz-polarization factor, no thermal factor.

Crystal structure
```
data_Pr2Cu2Pd15
_chemical_formula_sum 'Pr2 Cu2 Pd15'
_symmetry_space_group_name_H-M 'P 1'
_symmetry_Int_Tables_number 1
_cell_length_a 6.9755
_cell_length_b 6.9755
_cell_length_c 6.9755
_cell_angle_alpha 81.90
_cell_angle_beta 81.90
_cell_angle_gamma 81.90
loop_
_symmetry_equiv_pos_as_xyz
'x,y,z'
loop_
_atom_site_label
_atom_site_type_symbol
_atom_site_fract_x
_atom_site_fract_y
_atom_site_fract_z
Pr1 Pr 0.1637 0.1637 0.1637
Pr2 Pr 0.8363 0.8363 0.8363
Cu1 Cu 0.4077 0.4077 0.4077
Cu2 Cu 0.5923 0.5923 0.5923
Pd1 Pd 0.0000 0.5000 0.5000
Pd2 Pd 0.1543 0.1543 0.6549
Pd3 Pd 0.1543 0.6549 0.1543
Pd4 Pd 0.1978 0.5000 0.8022
Pd5 Pd 0.1978 0.8022 0.5000
Pd6 Pd 0.3451 0.8457 0.8457
Pd7 Pd 0.5000 0.0000 0.5000
Pd8 Pd 0.5000 0.1978 0.8022
Pd9 Pd 0.5000 0.5000 0.0000
Pd10 Pd 0.5000 0.8022 0.1978
Pd11 Pd 0.6549 0.1543 0.1543
Pd12 Pd 0.8022 0.1978 0.5000
Pd13 Pd 0.8022 0.5000 0.1978
Pd14 Pd 0.8457 0.3451 0.8457
Pd15 Pd 0.8457 0.8457 0.3451
```

Principal peaks in the range 5 to 70 degrees two-theta, in order of rising 2θ:
34.0°, I = 18; 34.7°, I = 11; 39.4°, I = 100; 39.5°, I = 25; 40.1°, I = 13; 44.3°, I = 43; 57.0°, I = 15; 64.5°, I = 12

***

6.
ZnGaMoIr: computed powder diffractogram (Cu Ka), based on a crystal structure in Alexandria, relaxed with GGA-PBE.
Kinematic intensities with the Lorentz-polarization factor, no thermal factor.

Crystal structure
```
data_ZnGaMoIr
_chemical_formula_sum 'Zn1 Ga1 Mo1 Ir1'
_symmetry_space_group_name_H-M 'P 1'
_symmetry_Int_Tables_number 1
_cell_length_a 3.7729
_cell_length_b 4.1528
_cell_length_c 3.8750
_cell_angle_alpha 90.00
_cell_angle_beta 90.00
_cell_angle_gamma 90.00
loop_
_symmetry_equiv_pos_as_xyz
'x,y,z'
loop_
_atom_site_label
_atom_site_type_symbol
_atom_site_fract_x
_atom_site_fract_y
_atom_site_fract_z
Zn1 Zn 0.0000 0.0000 0.0000
Ga1 Ga 0.0000 0.5000 0.5726
Mo1 Mo 0.5000 0.5000 0.0856
Ir1 Ir 0.5000 0.0000 0.4780
```

Principal peaks in the range 5 to 70 degrees two-theta, in order of rising 2θ:
23.6°, I = 11; 31.6°, I = 10; 33.1°, I = 11; 39.8°, I = 100; 43.6°, I = 21; 46.9°, I = 12; 48.2°, I = 16; 67.0°, I = 11

***

7.
Sm5Dy2Er4: computed powder diffractogram (Cu Ka), based on a crystal structure in Alexandria, relaxed with GGA-PBE.
Kinematic intensities with the Lorentz-polarization factor, no thermal factor.

Crystal structure
```
data_Sm5Dy2Er4
_chemical_formula_sum 'Sm5 Dy2 Er4'
_symmetry_space_group_name_H-M 'P 1'
_symmetry_Int_Tables_number 1
_cell_length_a 6.5522
_cell_length_b 6.6086
_cell_length_c 9.0143
_cell_angle_alpha 69.37
_cell_angle_beta 78.18
_cell_angle_gamma 84.51
loop_
_symmetry_equiv_pos_as_xyz
'x,y,z'
loop_
_atom_site_label
_atom_site_type_symbol
_atom_site_fract_x
_atom_site_fract_y
_atom_site_fract_z
Sm1 Sm 0.0000 0.0000 0.0000
Sm2 Sm 0.1818 0.8567 0.3657
Sm3 Sm 0.2942 0.3363 0.6072
Sm4 Sm 0.7058 0.6637 0.3928
Sm5 Sm 0.8182 0.1433 0.6343
Dy1 Dy 0.0914 0.4191 0.2051
Dy2 Dy 0.9086 0.5809 0.7949
Er1 Er 0.3970 0.7974 0.6969
Er2 Er 0.4784 0.2731 0.9496
Er3 Er 0.5216 0.7269 0.0504
Er4 Er 0.6030 0.2026 0.3031
```

Principal peaks in the range 5 to 70 degrees two-theta, in order of rising 2θ:
30.6°, I = 28; 31.3°, I = 27; 31.6°, I = 29; 31.8°, I = 100; 44.5°, I = 9; 45.9°, I = 10; 56.6°, I = 11; 56.7°, I = 9